Record 1
Structure and theoretical powder diffractogram of Sn6Mo (a structure optimized by DFT (GGA-PBE); copper Kα).

Main lines, by intensity (2θ from 15° to 90°):
two_theta  I/Imax
35.83  100
36.30  94
33.50  87
30.63  84
36.66  83
37.58  59
41.74  44
32.52  43

Cell and atoms:
Lattice parameters (Å, degrees): 5.658 5.658 11.293 90.00 90.00 74.13
Element x y z (fractional)
Sn: 0.031 0.579 0.250
Sn: 0.096 0.904 0.616
Sn: 0.096 0.904 0.884
Sn: 0.331 0.331 0.000
Sn: 0.331 0.331 0.500
Sn: 0.421 0.969 0.250
Sn: 0.579 0.031 0.750
Sn: 0.669 0.669 0.000
Sn: 0.669 0.669 0.500
Sn: 0.904 0.096 0.116
Sn: 0.904 0.096 0.384
Sn: 0.969 0.421 0.750
Mo: 0.439 0.561 0.750
Mo: 0.561 0.439 0.250

Record 2
Structure and theoretical powder diffractogram of CeNd2Se4 (a structure optimized by DFT (GGA-PBE); copper Kα).

Main lines, by intensity (2θ from 15° to 90°):
two_theta  I/Imax
29.80  100
43.02  73
30.31  48
53.21  39
42.65  37
70.47  17
71.27  16
78.28  12

Cell and atoms:
Lattice parameters (Å, degrees): 8.411 8.411 8.411 119.52 119.39 90.94
Element x y z (fractional)
Ce: 0.500 0.000 0.000
Ce: 0.500 0.500 0.500
Nd: 0.000 0.000 0.000
Nd: 0.000 0.000 0.500
Nd: 0.000 0.500 0.000
Nd: 0.500 0.000 0.500
Se: 0.247 0.746 0.501
Se: 0.251 0.246 0.495
Se: 0.251 0.756 0.005
Se: 0.255 0.254 0.001
Se: 0.745 0.746 0.999
Se: 0.749 0.244 0.995
Se: 0.749 0.754 0.505
Se: 0.753 0.254 0.499

Record 3
Structure and theoretical powder diffractogram of CsSrBeS2 (a structure optimized by DFT (GGA-PBE); copper Kα).

Main lines, by intensity (2θ from 15° to 90°):
two_theta  I/Imax
24.88  100
20.76  81
27.61  66
21.42  52
29.50  51
23.06  41
34.44  39
42.72  34

Cell and atoms:
Lattice parameters (Å, degrees): 7.896 4.925 8.773 90.00 102.32 90.00
Element x y z (fractional)
Cs: 0.000 0.222 0.250
Cs: 0.000 0.778 0.750
Sr: 0.500 0.487 0.750
Sr: 0.500 0.513 0.250
Be: 0.500 0.000 0.000
Be: 0.500 0.000 0.500
S: 0.299 0.242 0.965
S: 0.299 0.758 0.465
S: 0.701 0.242 0.535
S: 0.701 0.758 0.035

Record 4
Structure and theoretical powder diffractogram of Ce2Mg3Hg2 (a structure optimized by DFT (GGA-PBE); copper Kα).

Main lines, by intensity (2θ from 15° to 90°):
two_theta  I/Imax
33.62  100
35.04  95
38.79  52
35.73  50
33.03  46
31.94  32
41.04  28
67.40  27

Cell and atoms:
Lattice parameters (Å, degrees): 5.026 22.010 3.256 90.00 90.00 90.00
Element x y z (fractional)
Ce: 0.000 0.157 0.000
Ce: 0.000 0.843 0.000
Ce: 0.500 0.343 0.000
Ce: 0.500 0.657 0.000
Mg: 0.000 0.000 0.000
Mg: 0.000 0.430 0.500
Mg: 0.000 0.570 0.500
Mg: 0.500 0.070 0.500
Mg: 0.500 0.500 0.000
Mg: 0.500 0.930 0.500
Hg: 0.000 0.290 0.500
Hg: 0.000 0.710 0.500
Hg: 0.500 0.210 0.500
Hg: 0.500 0.790 0.500

Record 5
Structure and theoretical powder diffractogram of NiAgP (a structure optimized by DFT (GGA-PBE); copper Kα).

Main lines, by intensity (2θ from 15° to 90°):
two_theta  I/Imax
36.74  100
48.16  36
71.55  21
27.25  21
62.07  20
82.21  18
49.50  11
84.25  8

Cell and atoms:
Lattice parameters (Å, degrees): 3.779 3.779 3.683 90.00 90.00 120.00
Element x y z (fractional)
Ni: 0.000 0.000 0.000
Ag: 0.333 0.667 0.500
P: 0.667 0.333 0.000

Record 6
Structure and theoretical powder diffractogram of Er2UP3Rh12 (a structure optimized by DFT (GGA-PBE); copper Kα).

Main lines, by intensity (2θ from 15° to 90°):
two_theta  I/Imax
40.95  100
36.33  31
36.19  28
33.96  26
46.90  23
28.81  23
20.39  20
46.16  17

Cell and atoms:
Lattice parameters (Å, degrees): 6.699 6.699 6.699 82.28 82.28 82.28
Element x y z (fractional)
Er: 0.122 0.122 0.122
Er: 0.878 0.878 0.878
U: 0.500 0.500 0.500
P: 0.000 0.500 0.500
P: 0.500 0.000 0.500
P: 0.500 0.500 0.000
Rh: 0.135 0.135 0.587
Rh: 0.135 0.587 0.135
Rh: 0.167 0.677 0.677
Rh: 0.323 0.323 0.833
Rh: 0.323 0.833 0.323
Rh: 0.413 0.865 0.865
Rh: 0.587 0.135 0.135
Rh: 0.677 0.167 0.677
Rh: 0.677 0.677 0.167
Rh: 0.833 0.323 0.323
Rh: 0.865 0.413 0.865
Rh: 0.865 0.865 0.413

Repeat the fourth record exactly.
Structure and theoretical powder diffractogram of Ce2Mg3Hg2 (a structure optimized by DFT (GGA-PBE); copper Kα).

Main lines, by intensity (2θ from 15° to 90°):
two_theta  I/Imax
33.62  100
35.04  95
38.79  52
35.73  50
33.03  46
31.94  32
41.04  28
67.40  27

Cell and atoms:
Lattice parameters (Å, degrees): 5.026 22.010 3.256 90.00 90.00 90.00
Element x y z (fractional)
Ce: 0.000 0.157 0.000
Ce: 0.000 0.843 0.000
Ce: 0.500 0.343 0.000
Ce: 0.500 0.657 0.000
Mg: 0.000 0.000 0.000
Mg: 0.000 0.430 0.500
Mg: 0.000 0.570 0.500
Mg: 0.500 0.070 0.500
Mg: 0.500 0.500 0.000
Mg: 0.500 0.930 0.500
Hg: 0.000 0.290 0.500
Hg: 0.000 0.710 0.500
Hg: 0.500 0.210 0.500
Hg: 0.500 0.790 0.500